Calculated powder XRD pattern of TlGaTe2 for Cu Kα (weighted mean of Kα1 and Kα2), from a crystal structure in Alexandria, relaxed with GGA-PBE.
Kinematic intensities with the Lorentz-polarization factor, no thermal factor.

Top 10 peaks for 15 to 90 degrees two-theta, low angle first:
2θ/deg, d/Å, Rel. int., index
20.5, 4.324, 21, 2 0 0
26.4, 3.377, 78, 2 1 1
29.2, 3.058, 50, 2 2 0
29.6, 3.014, 29, 1 1 2
32.7, 2.735, 40, 3 1 0
33.1, 2.704, 100, 2 0 2
47.0, 1.934, 26, 4 2 0
49.7, 1.834, 31, 4 0 2
52.1, 1.757, 25, 3 3 2
74.6, 1.272, 19, 6 2 2

Structure:
```
data_TlGaTe2
_symmetry_space_group_name_H-M 'I 4/m c m'
_symmetry_Int_Tables_number 140
_symmetry_space_group_name_Hall '-I 4 2c'
_cell_length_a 8.648
_cell_length_b 8.648
_cell_length_c 6.929
_cell_angle_alpha 90.00
_cell_angle_beta 90.00
_cell_angle_gamma 90.00
loop_
_atom_site_label
_atom_site_fract_x
_atom_site_fract_y
_atom_site_fract_z
Tl1 0.000 0.000 0.250
Ga1 0.000 0.500 0.250
Te1 0.168 0.332 0.000
```